No. 1
Diffraction record for Dy2AgI. The XRD peak list is computed, not measured: it uses DFT lattice parameters and positions (GGA-PBE) and Cu Kα (λ = 1.5418 Å).
Lines closer than 0.1° are merged.

Structural model:
abc: 8.4974 8.4974 8.4974
angles: 27.67 27.67 27.67
Atoms (fractional coordinates):
1 Dy 0.0000 0.0000 0.0000
2 Dy 0.1917 0.1917 0.1917
3 Ag 0.5968 0.5968 0.5968
4 I 0.4286 0.4286 0.4286

Most intense lines, 2θ from 10° to 80°, in order of falling intensity:
- 31.29°, I 100
- 44.59°, I 45
- 36.19°, I 31
- 26.34°, I 23
- 29.26°, I 22
- 45.08°, I 21
- 55.47°, I 20
- 64.72°, I 17

***

No. 2
Diffraction record for Ca2CuPbO5. The XRD peak list is computed, not measured: it uses DFT lattice parameters and positions (GGA-PBE) and Cu Kα (λ = 1.5418 Å).
Lines closer than 0.1° are merged.

Structural model:
abc: 7.3351 7.3351 9.9083
angles: 90.00 90.00 153.63
Atoms (fractional coordinates):
1 Ca 0.1090 0.8910 0.5000
2 Ca 0.1206 0.8794 0.1062
3 Ca 0.8794 0.1206 0.6062
4 Ca 0.8910 0.1090 0.0000
5 Cu 0.4815 0.5185 0.2795
6 Cu 0.5185 0.4815 0.7795
7 Pb 0.2149 0.7851 0.8143
8 Pb 0.7851 0.2149 0.3143
9 O 0.0570 0.9430 0.8495
10 O 0.2859 0.7141 0.4677
11 O 0.2941 0.7059 0.1652
12 O 0.3675 0.6325 0.8141
13 O 0.4991 0.5009 0.0875
14 O 0.5009 0.4991 0.5875
15 O 0.6325 0.3675 0.3141
16 O 0.7059 0.2941 0.6652
17 O 0.7141 0.2859 0.9677
18 O 0.9430 0.0570 0.3495

Most intense lines, 2θ from 10° to 80°, in order of falling intensity:
- 38.86°, I 100
- 17.90°, I 54
- 28.85°, I 50
- 30.87°, I 33
- 12.39°, I 32
- 33.98°, I 32
- 21.83°, I 27
- 32.71°, I 27

***

> What is the formula in the second record?

Ca2CuPbO5